Theoretical X-ray diffraction stick pattern
Compound: Th4GaBi
Radiation: Cu Kα (λ = 1.5418 Å)
Structure: the GGA-PBE geometry in Alexandria
No peak broadening, texture or thermal motion is included.

Most intense lines, 5° ≤ 2θ ≤ 70°, in order of rising 2θ:
- 29.86°, I = 100
- 32.82°, I = 25
- 36.95°, I = 25
- 37.46°, I = 34
- 50.91°, I = 24
- 59.31°, I = 20

Cell and atoms:
Cell lengths 7.592, 7.592, 6.337 Å; angles 90.00, 90.00, 90.00 degrees
Fractional positions:
Th  0.146  0.331  0.000
Th  0.146  0.669  0.500
Th  0.331  0.146  0.500
Th  0.331  0.854  0.000
Th  0.669  0.146  0.000
Th  0.669  0.854  0.500
Th  0.854  0.331  0.500
Th  0.854  0.669  0.000
Ga  0.000  0.000  0.250
Ga  0.000  0.000  0.750
Bi  0.500  0.500  0.250
Bi  0.500  0.500  0.750

***

Theoretical X-ray diffraction stick pattern
Compound: AlFeHg3
Radiation: Cu Kα (λ = 1.5418 Å)
Structure: the GGA-PBE geometry in Alexandria
No peak broadening, texture or thermal motion is included.

Most intense lines, 5° ≤ 2θ ≤ 70°, in order of rising 2θ:
- 17.36°, I = 47
- 30.31°, I = 100
- 35.14°, I = 75
- 39.45°, I = 25
- 50.55°, I = 54
- 60.08°, I = 45

Cell and atoms:
Cell lengths 5.107, 5.107, 5.107 Å; angles 90.00, 90.00, 90.00 degrees
Fractional positions:
Al  0.000  0.000  0.000
Fe  0.500  0.500  0.500
Hg  0.000  0.500  0.500
Hg  0.500  0.000  0.500
Hg  0.500  0.500  0.000

***

Theoretical X-ray diffraction stick pattern
Compound: DyNi2Ge4Ru
Radiation: Cu Kα (λ = 1.5418 Å)
Structure: the GGA-PBE geometry in Alexandria
No peak broadening, texture or thermal motion is included.

Most intense lines, 5° ≤ 2θ ≤ 70°, in order of rising 2θ:
- 26.00°, I = 24
- 30.37°, I = 15
- 37.26°, I = 100
- 42.76°, I = 22
- 44.19°, I = 92
- 59.14°, I = 25

Cell and atoms:
Cell lengths 9.089, 9.089, 9.089 Å; angles 26.07, 26.07, 26.07 degrees
Fractional positions:
Dy  0.000  0.000  0.000
Ni  0.234  0.234  0.234
Ni  0.766  0.766  0.766
Ge  0.126  0.126  0.126
Ge  0.398  0.398  0.398
Ge  0.602  0.602  0.602
Ge  0.874  0.874  0.874
Ru  0.500  0.500  0.500

***

Theoretical X-ray diffraction stick pattern
Compound: Re3C5
Radiation: Cu Kα (λ = 1.5418 Å)
Structure: the GGA-PBE geometry in Alexandria
No peak broadening, texture or thermal motion is included.

Most intense lines, 5° ≤ 2θ ≤ 70°, in order of rising 2θ:
- 29.41°, I = 100
- 29.48°, I = 37
- 29.66°, I = 53
- 34.34°, I = 42
- 38.23°, I = 43
- 39.25°, I = 34

Cell and atoms:
Cell lengths 5.193, 6.142, 6.172 Å; angles 117.91, 100.93, 97.89 degrees
Fractional positions:
Re  0.000  0.000  0.000
Re  0.018  0.534  0.534
Re  0.298  0.308  0.855
Re  0.558  0.746  0.539
Re  0.600  0.030  0.312
Re  0.850  0.465  0.992
C  0.021  0.024  0.479
C  0.142  0.881  0.270
C  0.190  0.652  0.285
C  0.401  0.522  0.681
C  0.433  0.165  0.088
C  0.568  0.656  0.166
C  0.569  0.127  0.668
C  0.704  0.607  0.762
C  0.733  0.239  0.154
C  0.983  0.896  0.625